Entry 1:
Theoretical powder diffractogram of SmReB4 for Cu Kα X-rays, from a crystal structure in the Materials Project, relaxed with GGA-PBE.

Top 12 peaks for 10° ≤ 2θ ≤ 80°, by intensity:
| Position (°2θ) | d/Å | intensity | hkl |
| --- | --- | --- | --- |
| 39.45 | 2.284 | 100 | 0 4 1 |
| 24.32 | 3.660 | 99 | 0 0 1 |
| 30.58 | 2.924 | 84 | 0 4 0 |
| 45.36 | 1.999 | 48 | 2 3 1 |
| 37.68 | 2.387 | 35 | 2 3 0 |
| 42.30 | 2.137 | 34 | 1 4 1 |
| 34.07 | 2.632 | 26 | 1 4 0 |
| 59.60 | 1.551 | 26 | 0 4 2 |
| 49.82 | 1.830 | 21 | 0 0 2 |
| 36.82 | 2.441 | 15 | 1 3 1 |
| 64.12 | 1.452 | 15 | 2 3 2 |
| 67.06 | 1.396 | 15 | 4 0 1 |

Crystal structure
```
data_SmReB4
_space_group_name_H-M_alt 'P b a m'
_space_group_IT_number 55
_cell_length_a 6.038
_cell_length_b 11.696
_cell_length_c 3.660
_cell_angle_alpha 90.00
_cell_angle_beta 90.00
_cell_angle_gamma 90.00
loop_
_space_group_symop_operation_xyz
'x,y,z'
'-x,-y,-z'
'-x,-y,z'
'x,y,-z'
'x+1/2,-y+1/2,-z'
'-x+1/2,y+1/2,z'
'-x+1/2,y+1/2,-z'
'x+1/2,-y+1/2,z'
loop_
_atom_site_label
_atom_site_type_symbol
_atom_site_fract_x
_atom_site_fract_y
_atom_site_fract_z
Sm1 Sm 0.124 0.151 0.000
Re1 Re 0.129 0.413 0.000
B1 B 0.025 0.691 0.500
B2 B 0.113 0.546 0.500
B3 B 0.139 0.967 0.500
B4 B 0.217 0.816 0.500
```



Entry 2:
Theoretical powder diffractogram of HgH8C2Br3N for Cu Kα X-rays, from a crystal structure in the Materials Project, relaxed with GGA-PBE.

Top 12 peaks for 10° ≤ 2θ ≤ 80°, by intensity:
| Position (°2θ) | d/Å | intensity | hkl |
| --- | --- | --- | --- |
| 12.43 | 7.119 | 100 | 1 0 0 |
| 27.36 | 3.260 | 100 | 0 2 0 |
| 16.07 | 5.515 | 99 | 0 1 1 |
| 14.14 | 6.262 | 51 | 1 0 -1 |
| 21.06 | 4.218 | 49 | 1 1 1 |
| 44.76 | 2.025 | 46 | 0 2 4 |
| 25.02 | 3.559 | 43 | 2 0 0 |
| 30.88 | 2.896 | 42 | 2 1 1 |
| 34.71 | 2.584 | 42 | 0 0 4 |
| 37.41 | 2.404 | 31 | 2 2 0 |
| 30.15 | 2.964 | 30 | 1 2 0 |
| 25.37 | 3.511 | 29 | 2 0 -1 |

Crystal structure
```
data_HgH8C2Br3N
_space_group_name_H-M_alt 'P 1 21/m 1'
_space_group_IT_number 11
_cell_length_a 7.182
_cell_length_b 6.520
_cell_length_c 10.429
_cell_angle_alpha 90.00
_cell_angle_beta 97.59
_cell_angle_gamma 90.00
loop_
_space_group_symop_operation_xyz
'x,y,z'
'-x,-y,-z'
'-x,y+1/2,-z'
'x,-y+1/2,z'
loop_
_atom_site_label
_atom_site_type_symbol
_atom_site_fract_x
_atom_site_fract_y
_atom_site_fract_z
Hg1 Hg 0.095 0.250 0.137
H1 H 0.239 0.250 0.814
H2 H 0.272 0.114 0.605
H3 H 0.370 0.614 0.376
H4 H 0.442 0.120 0.823
H5 H 0.472 0.750 0.515
C1 C 0.355 0.250 0.638
C2 C 0.453 0.750 0.409
Br1 Br 0.031 0.750 0.647
Br2 Br 0.066 0.750 0.108
Br3 Br 0.464 0.250 0.132
N1 N 0.372 0.250 0.783
```



Entry 3:
Theoretical powder diffractogram of La2MgAl for Cu Kα X-rays, from a crystal structure in the Materials Project, relaxed with GGA-PBE.

Top 12 peaks for 10° ≤ 2θ ≤ 80°, by intensity:
| Position (°2θ) | d/Å | intensity | hkl |
| --- | --- | --- | --- |
| 32.50 | 2.755 | 100 | 1 0 2 |
| 23.02 | 3.864 | 56 | 1 0 0 |
| 32.78 | 2.732 | 51 | 1 1 0 |
| 58.33 | 1.582 | 37 | 2 1 2 |
| 22.63 | 3.930 | 28 | 0 0 2 |
| 40.20 | 2.243 | 25 | 1 1 2 |
| 47.03 | 1.932 | 18 | 2 0 0 |
| 57.79 | 1.595 | 17 | 1 1 4 |
| 52.99 | 1.728 | 12 | 2 1 0 |
| 52.80 | 1.734 | 11 | 2 0 2 |
| 68.05 | 1.378 | 10 | 2 0 4 |
| 52.23 | 1.752 | 10 | 1 0 4 |

Crystal structure
```
data_La2MgAl
_space_group_name_H-M_alt 'P 4/m m m'
_space_group_IT_number 123
_space_group_name_Hall '-P 4 2'
_cell_length_a 3.864
_cell_length_b 3.864
_cell_length_c 7.860
_cell_angle_alpha 90.00
_cell_angle_beta 90.00
_cell_angle_gamma 90.00
loop_
_atom_site_label
_atom_site_type_symbol
_atom_site_fract_x
_atom_site_fract_y
_atom_site_fract_z
La1 La 0.000 0.000 0.234
Mg1 Mg 0.500 0.500 0.500
Al1 Al 0.500 0.500 0.000
```



Entry 4:
Theoretical powder diffractogram of Li4SiGe3O10 for Cu Kα X-rays, from a crystal structure in the Materials Project, relaxed with GGA-PBE.

Top 12 peaks for 10° ≤ 2θ ≤ 80°, by intensity:
| Position (°2θ) | d/Å | intensity | hkl |
| --- | --- | --- | --- |
| 23.34 | 3.811 | 100 | 1 -1 0 |
| 14.25 | 6.214 | 54 | 0 1 0 |
| 23.00 | 3.866 | 51 | 0 0 2 |
| 35.45 | 2.532 | 28 | 2 0 1 |
| 23.51 | 3.785 | 28 | 1 -1 1 |
| 27.08 | 3.292 | 20 | 0 1 2 |
| 18.38 | 4.828 | 19 | 0 1 -1 |
| 28.75 | 3.105 | 15 | 0 2 0 |
| 44.94 | 2.017 | 15 | 1 2 3 |
| 11.44 | 7.732 | 15 | 0 0 1 |
| 34.25 | 2.618 | 13 | 1 2 0 |
| 27.25 | 3.273 | 12 | 0 1 -2 |

Crystal structure
```
data_Li4SiGe3O10
_space_group_name_H-M_alt 'P 1'
_space_group_IT_number 1
_cell_length_a 5.065
_cell_length_b 6.215
_cell_length_c 8.119
_cell_angle_alpha 89.53
_cell_angle_beta 72.24
_cell_angle_gamma 89.62
loop_
_space_group_symop_operation_xyz
'x,y,z'
loop_
_atom_site_label
_atom_site_type_symbol
_atom_site_fract_x
_atom_site_fract_y
_atom_site_fract_z
Li1 Li 0.000 0.000 0.000
Li2 Li 0.102 0.292 0.781
Li3 Li 0.501 0.298 0.991
Li4 Li 0.610 0.007 0.775
Si1 Si 0.817 0.492 0.599
Ge1 Ge 0.024 0.489 0.190
Ge2 Ge 0.313 0.800 0.598
Ge3 Ge 0.525 0.806 0.182
O1 O 0.054 0.303 0.030
O2 O 0.126 0.552 0.622
O3 O 0.200 0.990 0.755
O4 O 0.351 0.908 0.391
O5 O 0.385 0.546 0.162
O6 O 0.561 0.992 0.021
O7 O 0.644 0.724 0.625
O8 O 0.696 0.313 0.744
O9 O 0.855 0.401 0.403
O10 O 0.884 0.747 0.163
```



Entry 5:
Theoretical powder diffractogram of RbAlF4 for Cu Kα X-rays, from a crystal structure in the Materials Project, relaxed with GGA-PBE.

Top 12 peaks for 10° ≤ 2θ ≤ 80°, by intensity:
| Position (°2θ) | d/Å | intensity | hkl |
| --- | --- | --- | --- |
| 27.77 | 3.212 | 100 | 1 0 1 |
| 37.04 | 2.427 | 83 | 1 1 1 |
| 57.33 | 1.607 | 40 | 2 0 2 |
| 34.14 | 2.626 | 33 | 1 1 0 |
| 49.06 | 1.857 | 31 | 2 0 0 |
| 49.26 | 1.850 | 31 | 1 0 3 |
| 27.88 | 3.200 | 30 | 0 0 2 |
| 72.07 | 1.310 | 19 | 2 1 3 |
| 63.06 | 1.474 | 13 | 2 1 2 |
| 79.00 | 1.212 | 12 | 2 0 4 |
| 78.76 | 1.215 | 11 | 2 2 2 |
| 71.91 | 1.313 | 9 | 2 2 0 |

Crystal structure
```
data_RbAlF4
_space_group_name_H-M_alt 'P 4/m m m'
_space_group_IT_number 123
_space_group_name_Hall '-P 4 2'
_cell_length_a 3.714
_cell_length_b 3.714
_cell_length_c 6.399
_cell_angle_alpha 90.00
_cell_angle_beta 90.00
_cell_angle_gamma 90.00
loop_
_atom_site_label
_atom_site_type_symbol
_atom_site_fract_x
_atom_site_fract_y
_atom_site_fract_z
Rb1 Rb 0.000 0.000 0.000
Al1 Al 0.500 0.500 0.500
F1 F 0.000 0.500 0.500
F2 F 0.500 0.500 0.221
```



Entry 6:
Theoretical powder diffractogram of Ba3GaP3 for Cu Kα X-rays, from a crystal structure in the Materials Project, relaxed with GGA-PBE.

Top 12 peaks for 10° ≤ 2θ ≤ 80°, by intensity:
| Position (°2θ) | d/Å | intensity | hkl |
| --- | --- | --- | --- |
| 23.25 | 3.825 | 100 | 3 1 2 |
| 27.13 | 3.287 | 54 | 0 0 4 |
| 38.84 | 2.319 | 49 | 6 0 4 |
| 27.24 | 3.273 | 41 | 6 0 0 |
| 38.26 | 2.352 | 35 | 6 2 0 |
| 28.72 | 3.109 | 34 | 2 2 1 |
| 38.18 | 2.357 | 31 | 0 2 4 |
| 24.63 | 3.614 | 27 | 1 1 3 |
| 26.34 | 3.383 | 19 | 0 2 0 |
| 51.14 | 1.786 | 16 | 5 3 3 |
| 47.55 | 1.912 | 16 | 6 2 4 |
| 32.86 | 2.726 | 15 | 4 2 1 |

Crystal structure
```
data_Ba3GaP3
_space_group_name_H-M_alt 'C m c e'
_space_group_IT_number 64
_space_group_name_Hall '-C 2ac 2'
_cell_length_a 19.639
_cell_length_b 6.767
_cell_length_c 13.142
_cell_angle_alpha 90.00
_cell_angle_beta 90.00
_cell_angle_gamma 90.00
loop_
_atom_site_label
_atom_site_type_symbol
_atom_site_fract_x
_atom_site_fract_y
_atom_site_fract_z
Ba1 Ba 0.000 0.172 0.151
Ba2 Ba 0.176 0.190 0.870
Ga1 Ga 0.084 0.000 0.500
P1 P 0.000 0.199 0.405
P2 P 0.157 0.191 0.617
```